Diffraction record for CrFe6W. The powder diffractogram is computed, not measured: it uses the PBE geometry in Alexandria and Cu Kα X-rays.
Lines closer than 0.1° are merged.

Structural model:
a b c (Å): 6.2057 6.2057 10.1314
angles (deg): 90.00 90.00 109.43
Fractional positions:
Cr (0.0000, 0.0000, 0.2481)
Cr (0.0000, 0.0000, 0.7519)
Cr (0.2522, 0.7478, 0.5000)
Cr (0.7478, 0.2522, 0.5000)
Fe (0.0000, 0.0000, 0.0000)
Fe (0.0000, 0.0000, 0.5000)
Fe (0.1182, 0.3715, 0.3774)
Fe (0.1182, 0.3715, 0.6226)
Fe (0.1201, 0.3668, 0.1280)
Fe (0.1201, 0.3668, 0.8720)
Fe (0.2467, 0.7533, 0.2553)
Fe (0.2467, 0.7533, 0.7447)
Fe (0.3668, 0.1201, 0.1280)
Fe (0.3668, 0.1201, 0.8720)
Fe (0.3715, 0.1182, 0.3774)
Fe (0.3715, 0.1182, 0.6226)
Fe (0.5000, 0.5000, 0.0000)
Fe (0.5000, 0.5000, 0.5000)
Fe (0.6285, 0.8818, 0.3774)
Fe (0.6285, 0.8818, 0.6226)
Fe (0.6332, 0.8799, 0.1280)
Fe (0.6332, 0.8799, 0.8720)
Fe (0.7533, 0.2467, 0.2553)
Fe (0.7533, 0.2467, 0.7447)
Fe (0.8799, 0.6332, 0.1280)
Fe (0.8799, 0.6332, 0.8720)
Fe (0.8818, 0.6285, 0.3774)
Fe (0.8818, 0.6285, 0.6226)
W (0.2535, 0.7465, 0.0000)
W (0.5000, 0.5000, 0.2482)
W (0.5000, 0.5000, 0.7518)
W (0.7465, 0.2535, 0.0000)

Peak list (10 most intense, 2θ = 10–90°, sorted by position)
- 2θ = 15.14°, 5.852 Å, I 7
- 2θ = 23.22°, 3.830 Å, I 5
- 2θ = 24.85°, 3.583 Å, I 13
- 2θ = 31.84°, 2.811 Å, I 5
- 2θ = 35.43°, 2.533 Å, I 11
- 2θ = 43.76°, 2.069 Å, I 100
- 2θ = 50.98°, 1.791 Å, I 47
- 2θ = 57.52°, 1.602 Å, I 6
- 2θ = 63.61°, 1.463 Å, I 4
- 2θ = 74.97°, 1.267 Å, I 27